BaNdEuVO6: theoretical X-ray diffraction stick pattern (copper Kα), based on a crystal structure in the Materials Project, relaxed with GGA+U.

Structural model:
```
data_BaNdEuVO6
_chemical_formula_sum 'Ba4 Nd4 Eu4 V4 O24'
_space_group_name_H-M_alt 'F -4 3 m'
_space_group_IT_number 216
_space_group_name_Hall 'F -4 2 3'
_cell_length_a 8.454
_cell_length_b 8.454
_cell_length_c 8.454
_cell_angle_alpha 90.00
_cell_angle_beta 90.00
_cell_angle_gamma 90.00
loop_
_atom_site_label
_atom_site_type_symbol
_atom_site_fract_x
_atom_site_fract_y
_atom_site_fract_z
Ba1 Ba 0.000 0.000 0.000
Nd1 Nd 0.250 0.250 0.250
Eu1 Eu 0.000 0.000 0.500
V1 V 0.250 0.250 0.750
O1 O 0.023 0.250 0.750
```

Main lines, by angle (5° ≤ 2θ ≤ 70°):
(hkl), 2θ/deg, I_rel
1 1 1, 18.2, 7
2 2 0, 29.9, 100
3 1 1, 35.2, 7
2 2 2, 36.8, 6
4 0 0, 42.8, 30
3 3 1, 46.8, 4
4 2 2, 53.1, 39
3 3 3, 56.6, 2
4 4 0, 62.1, 18
5 3 1, 65.3, 2

CoPO4: theoretical X-ray diffraction stick pattern (copper Kα), based on a crystal structure in the Materials Project, relaxed with GGA+U.

Structural model:
```
data_CoPO4
_chemical_formula_sum 'Co8 P8 O32'
_space_group_name_H-M_alt 'P 1 21/c 1'
_space_group_IT_number 14
_cell_length_a 5.807
_cell_length_b 11.100
_cell_length_c 9.870
_cell_angle_alpha 90.00
_cell_angle_beta 94.41
_cell_angle_gamma 90.00
loop_
_space_group_symop_operation_xyz
'x,y,z'
'-x,-y,-z'
'-x,y+1/2,-z+1/2'
'x,-y+1/2,z+1/2'
loop_
_atom_site_label
_atom_site_type_symbol
_atom_site_fract_x
_atom_site_fract_y
_atom_site_fract_z
Co1 Co 0.131 0.094 0.251
Co2 Co 0.347 0.623 0.502
P1 P 0.113 0.143 0.929
P2 P 0.370 0.621 0.186
O1 O 0.055 0.175 0.076
O2 O 0.105 0.569 0.628
O3 O 0.149 0.543 0.180
O4 O 0.152 0.249 0.840
O5 O 0.336 0.061 0.937
O6 O 0.353 0.719 0.080
O7 O 0.411 0.676 0.332
O8 O 0.414 0.040 0.331
```

Main lines, by angle (5° ≤ 2θ ≤ 70°):
(hkl), 2θ/deg, I_rel
0 1 1, 12.0, 100
0 2 1, 18.4, 67
0 1 2, 19.7, 23
0 3 1, 25.7, 18
0 1 3, 28.4, 20
1 1 -3, 31.3, 16
0 2 3, 31.7, 19
2 1 0, 31.9, 42
0 4 0, 32.3, 15
1 2 3, 36.3, 12

VIO4: theoretical X-ray diffraction stick pattern (copper Kα), based on a crystal structure in the Materials Project, relaxed with GGA+U.

Structural model:
```
data_VIO4
_chemical_formula_sum 'V8 I8 O32'
_space_group_name_H-M_alt 'C 1 2/m 1'
_space_group_IT_number 12
_cell_length_a 10.380
_cell_length_b 9.508
_cell_length_c 9.280
_cell_angle_alpha 90.00
_cell_angle_beta 103.21
_cell_angle_gamma 90.00
loop_
_space_group_symop_operation_xyz
'x,y,z'
'-x,-y,-z'
'-x,y,-z'
'x,-y,z'
'x+1/2,y+1/2,z'
'-x+1/2,-y+1/2,-z'
'-x+1/2,y+1/2,-z'
'x+1/2,-y+1/2,z'
loop_
_atom_site_label
_atom_site_type_symbol
_atom_site_fract_x
_atom_site_fract_y
_atom_site_fract_z
V1 V 0.000 0.245 0.000
V2 V 0.227 0.500 0.582
I1 I 0.000 0.196 0.500
I2 I 0.239 0.000 0.893
O1 O 0.088 0.151 0.893
O2 O 0.115 0.349 0.123
O3 O 0.138 0.000 0.509
O4 O 0.138 0.343 0.517
O5 O 0.216 0.000 0.239
```

Main lines, by angle (5° ≤ 2θ ≤ 70°):
(hkl), 2θ/deg, I_rel
1 1 -1, 14.9, 16
0 0 2, 19.7, 62
1 1 -2, 21.7, 28
1 1 2, 25.2, 47
2 2 0, 25.7, 100
0 0 3, 29.7, 14
2 2 -2, 30.0, 21
3 1 -2, 30.7, 17
1 3 -2, 34.5, 17
3 3 2, 46.9, 19

MgCu2W2O8: theoretical X-ray diffraction stick pattern (copper Kα), based on a crystal structure in the Materials Project, relaxed with GGA+U.

Structural model:
```
data_MgCu2W2O8
_chemical_formula_sum 'Mg1 Cu2 W2 O8'
_space_group_name_H-M_alt 'P 1 2 1'
_space_group_IT_number 3
_cell_length_a 5.125
_cell_length_b 6.371
_cell_length_c 5.791
_cell_angle_alpha 90.00
_cell_angle_beta 109.17
_cell_angle_gamma 90.00
loop_
_space_group_symop_operation_xyz
'x,y,z'
'-x,y,-z'
loop_
_atom_site_label
_atom_site_type_symbol
_atom_site_fract_x
_atom_site_fract_y
_atom_site_fract_z
Mg1 Mg 0.000 0.000 0.000
Cu1 Cu 0.000 0.041 0.500
Cu2 Cu 0.500 0.743 0.500
W1 W 0.000 0.530 0.000
W2 W 0.500 0.253 0.000
O1 O 0.208 0.739 0.209
O2 O 0.244 0.278 0.189
O3 O 0.249 0.482 0.814
O4 O 0.265 0.046 0.801
```

Main lines, by angle (5° ≤ 2θ ≤ 70°):
(hkl), 2θ/deg, I_rel
0 1 0, 13.9, 26
0 0 1, 16.2, 76
0 1 1, 21.4, 85
1 1 -1, 24.5, 100
1 1 1, 31.7, 44
0 0 2, 32.7, 28
1 2 0, 33.7, 73
2 0 -2, 40.9, 34
1 2 -2, 42.9, 30
1 2 2, 52.1, 36

NaSrNdFeO6: theoretical X-ray diffraction stick pattern (copper Kα), based on a crystal structure in the Materials Project, relaxed with GGA+U.

Structural model:
```
data_NaSrNdFeO6
_chemical_formula_sum 'Na4 Sr4 Nd4 Fe4 O24'
_space_group_name_H-M_alt 'F -4 3 m'
_space_group_IT_number 216
_space_group_name_Hall 'F -4 2 3'
_cell_length_a 8.286
_cell_length_b 8.286
_cell_length_c 8.286
_cell_angle_alpha 90.00
_cell_angle_beta 90.00
_cell_angle_gamma 90.00
loop_
_atom_site_label
_atom_site_type_symbol
_atom_site_fract_x
_atom_site_fract_y
_atom_site_fract_z
Na1 Na 0.000 0.000 0.000
Sr1 Sr 0.000 0.000 0.500
Nd1 Nd 0.250 0.250 0.250
Fe1 Fe 0.250 0.250 0.750
O1 O 0.025 0.250 0.750
```

Main lines, by angle (5° ≤ 2θ ≤ 70°):
(hkl), 2θ/deg, I_rel
1 1 1, 18.5, 23
2 0 0, 21.4, 25
2 2 0, 30.5, 100
3 1 1, 35.9, 19
4 0 0, 43.7, 37
3 3 1, 47.9, 11
4 2 0, 49.2, 9
4 2 2, 54.2, 38
3 3 3, 57.8, 6
4 4 0, 63.5, 21

V2CdO6: theoretical X-ray diffraction stick pattern (copper Kα), based on a crystal structure in the Materials Project, relaxed with GGA+U.

Structural model:
```
data_V2CdO6
_chemical_formula_sum 'V8 Cd4 O24'
_space_group_name_H-M_alt 'P b c n'
_space_group_IT_number 60
_cell_length_a 14.382
_cell_length_b 5.855
_cell_length_c 4.970
_cell_angle_alpha 90.00
_cell_angle_beta 90.00
_cell_angle_gamma 90.00
loop_
_space_group_symop_operation_xyz
'x,y,z'
'-x,-y,-z'
'-x+1/2,-y+1/2,z+1/2'
'x+1/2,y+1/2,-z+1/2'
'x+1/2,-y+1/2,-z'
'-x+1/2,y+1/2,z'
'-x,y,-z+1/2'
'x,-y,z+1/2'
loop_
_atom_site_label
_atom_site_type_symbol
_atom_site_fract_x
_atom_site_fract_y
_atom_site_fract_z
V1 V 0.167 0.183 0.221
Cd1 Cd 0.000 0.282 0.750
O1 O 0.090 0.380 0.113
O2 O 0.106 0.078 0.518
O3 O 0.246 0.151 0.894
```

Main lines, by angle (5° ≤ 2θ ≤ 70°):
(hkl), 2θ/deg, I_rel
2 0 0, 12.3, 11
3 1 0, 24.0, 13
1 1 1, 24.3, 13
3 1 1, 30.1, 100
0 2 0, 30.5, 15
0 2 2, 48.0, 10
6 2 1, 52.7, 11
6 0 2, 53.1, 13
3 1 3, 61.3, 11
9 1 1, 63.1, 11

Li7Mn5O12: theoretical X-ray diffraction stick pattern (copper Kα), based on a crystal structure in the Materials Project, relaxed with GGA+U.

Structural model:
```
data_Li7Mn5O12
_chemical_formula_sum 'Li14 Mn10 O24'
_space_group_name_H-M_alt 'P -1'
_space_group_IT_number 2
_cell_length_a 6.066
_cell_length_b 6.511
_cell_length_c 12.088
_cell_angle_alpha 74.81
_cell_angle_beta 84.63
_cell_angle_gamma 75.60
loop_
_space_group_symop_operation_xyz
'x,y,z'
'-x,-y,-z'
loop_
_atom_site_label
_atom_site_type_symbol
_atom_site_fract_x
_atom_site_fract_y
_atom_site_fract_z
Li1 Li 0.000 0.000 0.000
Li2 Li 0.015 0.998 0.260
Li3 Li 0.168 0.320 0.572
Li4 Li 0.174 0.329 0.094
Li5 Li 0.322 0.685 0.917
Li6 Li 0.351 0.665 0.424
Li7 Li 0.479 0.994 0.243
Li8 Li 0.500 0.000 0.500
Mn1 Mn 0.000 0.000 0.500
Mn2 Mn 0.172 0.334 0.838
Mn3 Mn 0.174 0.331 0.339
Mn4 Mn 0.322 0.666 0.163
Mn5 Mn 0.336 0.674 0.664
Mn6 Mn 0.500 0.000 0.000
O1 O 0.066 0.681 0.542
O2 O 0.093 0.656 0.285
O3 O 0.099 0.663 0.060
O4 O 0.105 0.655 0.792
O5 O 0.219 0.990 0.612
O6 O 0.234 0.014 0.378
O7 O 0.263 0.983 0.121
O8 O 0.279 0.020 0.887
O9 O 0.397 0.346 0.209
O10 O 0.430 0.334 0.452
O11 O 0.438 0.346 0.728
O12 O 0.444 0.316 0.960
```

Main lines, by angle (5° ≤ 2θ ≤ 70°):
(hkl), 2θ/deg, I_rel
1 0 1, 16.7, 7
0 1 2, 18.2, 100
2 0 2, 33.8, 15
2 1 -2, 36.4, 23
2 1 4, 40.3, 34
0 3 0, 44.5, 53
0 4 2, 58.6, 9
4 1 0, 61.5, 15
2 -2 4, 61.6, 8
0 1 8, 61.7, 8

Repeat the fifth record exactly.
NaSrNdFeO6: theoretical X-ray diffraction stick pattern (copper Kα), based on a crystal structure in the Materials Project, relaxed with GGA+U.

Structural model:
```
data_NaSrNdFeO6
_chemical_formula_sum 'Na4 Sr4 Nd4 Fe4 O24'
_space_group_name_H-M_alt 'F -4 3 m'
_space_group_IT_number 216
_space_group_name_Hall 'F -4 2 3'
_cell_length_a 8.286
_cell_length_b 8.286
_cell_length_c 8.286
_cell_angle_alpha 90.00
_cell_angle_beta 90.00
_cell_angle_gamma 90.00
loop_
_atom_site_label
_atom_site_type_symbol
_atom_site_fract_x
_atom_site_fract_y
_atom_site_fract_z
Na1 Na 0.000 0.000 0.000
Sr1 Sr 0.000 0.000 0.500
Nd1 Nd 0.250 0.250 0.250
Fe1 Fe 0.250 0.250 0.750
O1 O 0.025 0.250 0.750
```

Main lines, by angle (5° ≤ 2θ ≤ 70°):
(hkl), 2θ/deg, I_rel
1 1 1, 18.5, 23
2 0 0, 21.4, 25
2 2 0, 30.5, 100
3 1 1, 35.9, 19
4 0 0, 43.7, 37
3 3 1, 47.9, 11
4 2 0, 49.2, 9
4 2 2, 54.2, 38
3 3 3, 57.8, 6
4 4 0, 63.5, 21